[1]
For HfTlAg3Te4, DFT lattice parameters and positions (GGA-PBE) gives the calculated X-ray powder pattern in this record (Cu Kα).
Peak positions follow from Bragg's law for the DFT cell and can differ from measured ones.

Top 10 peaks for 10 to 90 degrees two-theta, in order of rising 2θ:
| 2theta | I (rel.) | hkl |
| --- | --- | --- |
| 13.51 | 55 | 0 1 1 |
| 22.52 | 45 | 0 2 1 |
| 25.13 | 59 | 1 2 0 |
| 25.32 | 89 | 1 0 2 |
| 26.17 | 48 | 1 0 -3 |
| 28.33 | 44 | 2 0 0 |
| 33.66 | 46 | 0 2 3 |
| 38.39 | 100 | 2 2 1 |
| 39.30 | 92 | 2 2 -3 |
| 42.18 | 55 | 0 4 0 |

```
data_HfTlAg3Te4
_symmetry_space_group_name_H-M 'P 1 21/m 1'
_symmetry_Int_Tables_number 11
_symmetry_space_group_name_Hall '-P 2yb'
_cell_length_a 6.5627
_cell_length_b 8.5688
_cell_length_c 10.5877
_cell_angle_alpha 90.00
_cell_angle_beta 106.04
_cell_angle_gamma 90.00
loop_
_atom_site_label
_atom_site_type_symbol
_atom_site_fract_x
_atom_site_fract_y
_atom_site_fract_z
Hf1 Hf 0.1574 0.2500 0.2841
Tl1 Tl 0.2575 0.2500 0.9247
Ag1 Ag 0.2869 0.5208 0.5012
Ag2 Ag 0.3391 0.7500 0.7119
Te1 Te 0.0469 0.2500 0.5234
Te2 Te 0.1790 0.7500 0.9312
Te3 Te 0.3804 0.5149 0.2544
```

***

[2]
For HfZrAg6, DFT lattice parameters and positions (GGA-PBE) gives the calculated X-ray powder pattern in this record (Cu Kα).
Peak positions follow from Bragg's law for the DFT cell and can differ from measured ones.

Top 10 peaks for 10 to 90 degrees two-theta, in order of rising 2θ:
| 2theta | I (rel.) | hkl |
| --- | --- | --- |
| 34.58 | 26 | 0 2 1 |
| 37.07 | 40 | 2 0 0 |
| 39.39 | 100 | 1 2 1 |
| 40.79 | 47 | 1 0 2 |
| 51.59 | 16 | 2 2 1 |
| 63.98 | 15 | 0 2 3 |
| 68.37 | 19 | 3 2 1 |
| 73.52 | 10 | 2 4 0 |
| 75.94 | 14 | 1 4 2 |
| 76.31 | 18 | 2 2 3 |

```
data_HfZrAg6
_symmetry_space_group_name_H-M 'P m m 2'
_symmetry_Int_Tables_number 25
_symmetry_space_group_name_Hall 'P 2 -2'
_cell_length_a 4.8505
_cell_length_b 6.0811
_cell_length_c 4.9722
_cell_angle_alpha 90.00
_cell_angle_beta 90.00
_cell_angle_gamma 90.00
loop_
_atom_site_label
_atom_site_type_symbol
_atom_site_fract_x
_atom_site_fract_y
_atom_site_fract_z
Hf1 Hf 0.0000 0.0000 0.0000
Zr1 Zr 0.5000 0.5000 0.6842
Ag1 Ag 0.0000 0.2501 0.5073
Ag2 Ag 0.0000 0.5000 0.0153
Ag3 Ag 0.5000 0.0000 0.6740
Ag4 Ag 0.5000 0.2450 0.1772
```

***

[3]
For Hf3ZrAg2, DFT lattice parameters and positions (GGA-PBE) gives the calculated X-ray powder pattern in this record (Cu Kα).
Peak positions follow from Bragg's law for the DFT cell and can differ from measured ones.

Top 10 peaks for 10 to 90 degrees two-theta, in order of rising 2θ:
| 2theta | I (rel.) | hkl |
| --- | --- | --- |
| 28.62 | 3 | 1 0 1 |
| 35.81 | 100 | 1 0 3 |
| 39.43 | 38 | 1 1 0 |
| 45.64 | 12 | 0 0 6 |
| 56.99 | 13 | 2 0 0 |
| 61.87 | 20 | 1 1 6 |
| 69.16 | 29 | 2 1 3 |
| 75.88 | 11 | 2 0 6 |
| 77.92 | 10 | 1 0 9 |
| 84.86 | 4 | 2 2 0 |

```
data_Hf3ZrAg2
_symmetry_space_group_name_H-M 'P 4 m m'
_symmetry_Int_Tables_number 99
_symmetry_space_group_name_Hall 'P 4 -2'
_cell_length_a 3.2319
_cell_length_b 3.2319
_cell_length_c 11.9255
_cell_angle_alpha 90.00
_cell_angle_beta 90.00
_cell_angle_gamma 90.00
loop_
_atom_site_label
_atom_site_type_symbol
_atom_site_fract_x
_atom_site_fract_y
_atom_site_fract_z
Hf1 Hf 0.0000 0.0000 0.0000
Hf2 Hf 0.0000 0.0000 0.3269
Hf3 Hf 0.5000 0.5000 0.4961
Zr1 Zr 0.5000 0.5000 0.8273
Ag1 Ag 0.0000 0.0000 0.6572
Ag2 Ag 0.5000 0.5000 0.1624
```